The following is a computed X-ray powder pattern of Nb3InPd. It was derived from a structure optimized by DFT (PBE), using Cu Kα.

Most intense lines, 2θ from 5° to 70°, by angle:
- 2θ = 18.22°, d 4.869, intensity 18
- 2θ = 25.88°, d 3.443, intensity 33
- 2θ = 31.83°, d 2.811, intensity 67
- 2θ = 36.92°, d 2.435, intensity 100
- 2θ = 41.47°, d 2.178, intensity 8
- 2θ = 45.64°, d 1.988, intensity 14
- 2θ = 53.21°, d 1.722, intensity 68
- 2θ = 60.09°, d 1.540, intensity 6
- 2θ = 63.35°, d 1.468, intensity 26
- 2θ = 66.52°, d 1.406, intensity 23

Structural model:
```
Nb3InPd
1.0
4.8692 0.0000 0.0000
0.0000 4.8692 0.0000
0.0000 0.0000 4.8692
Nb In Pd
3 1 1
Direct
0.0000 0.0000 0.5000
0.0000 0.5000 0.0000
0.5000 0.0000 0.0000
0.5000 0.5000 0.5000
0.0000 0.0000 0.0000
```